(1)
Computed X-ray powder pattern of KZr6MnCl14 for a wavelength of 1.5418 Å, from a structure optimized by DFT (PBE).

Structural model:
a b c (Å): 9.8872 9.8872 12.0340
angles (deg): 90.00 90.00 84.08
Element x y z (fractional)
K  0.0000  0.0000  0.0000
K  0.5000  0.5000  0.5000
Zr  0.0480  0.1911  0.6182
Zr  0.1507  0.8493  0.6103
Zr  0.1911  0.0480  0.3818
Zr  0.3089  0.4520  0.8818
Zr  0.3493  0.6507  0.1103
Zr  0.4520  0.3089  0.1182
Zr  0.5480  0.6911  0.8818
Zr  0.6507  0.3493  0.8897
Zr  0.6911  0.5480  0.1182
Zr  0.8089  0.9520  0.6182
Zr  0.8493  0.1507  0.3897
Zr  0.9520  0.8089  0.3818
Mn  0.0000  0.0000  0.5000
Mn  0.5000  0.5000  0.0000
Cl  0.0357  0.2087  0.2527
Cl  0.1003  0.3997  0.7500
Cl  0.1174  0.6371  0.4929
Cl  0.1371  0.6174  0.9929
Cl  0.1551  0.8449  0.2409
Cl  0.2087  0.0357  0.7473
Cl  0.2500  0.2500  0.0000
Cl  0.2500  0.2500  0.5000
Cl  0.2913  0.4643  0.2473
Cl  0.3449  0.6551  0.7409
Cl  0.3629  0.8826  0.4929
Cl  0.3826  0.8629  0.9929
Cl  0.3997  0.1003  0.2500
Cl  0.4643  0.2913  0.7527
Cl  0.5357  0.7087  0.2473
Cl  0.6003  0.8997  0.7500
Cl  0.6174  0.1371  0.0071
Cl  0.6371  0.1174  0.5071
Cl  0.6551  0.3449  0.2591
Cl  0.7087  0.5357  0.7527
Cl  0.7500  0.7500  0.0000
Cl  0.7500  0.7500  0.5000
Cl  0.7913  0.9643  0.2527
Cl  0.8449  0.1551  0.7591
Cl  0.8629  0.3826  0.0071
Cl  0.8826  0.3629  0.5071
Cl  0.8997  0.6003  0.2500
Cl  0.9643  0.7913  0.7473

The 10 most intense peaks (2θ = 15–90°), by angle:
2θ/deg	intensity
24.39	47
30.83	40
31.07	27
31.58	54
35.15	46
35.82	100
37.60	40
41.12	36
48.10	53
49.66	32

=====

(2)
Computed X-ray powder pattern of ErPH5CO7 for a wavelength of 1.5418 Å, from a structure optimized by DFT (PBE).

Structural model:
a b c (Å): 6.4864 6.8885 7.7393
angles (deg): 111.91 96.31 90.77
Element x y z (fractional)
Er  0.1235  0.2205  0.4336
Er  0.8765  0.7795  0.5664
P  0.3285  0.7486  0.4797
P  0.6715  0.2514  0.5203
H  0.1622  0.5201  0.8160
H  0.2782  0.3224  0.8464
H  0.3735  0.7061  0.2962
H  0.4761  0.2603  0.1075
H  0.4841  0.8848  0.0941
H  0.5159  0.1152  0.9059
H  0.5239  0.7397  0.8925
H  0.6265  0.2939  0.7038
H  0.7218  0.6776  0.1536
H  0.8378  0.4799  0.1840
C  0.0579  0.9049  0.0026
C  0.9421  0.0951  0.9974
O  0.0525  0.7515  0.8462
O  0.1486  0.9159  0.1587
O  0.1802  0.5689  0.4752
O  0.1947  0.9435  0.5378
O  0.2141  0.3785  0.7531
O  0.4108  0.1989  0.9773
O  0.4654  0.2203  0.3939
O  0.5346  0.7797  0.6061
O  0.5892  0.8011  0.0227
O  0.7859  0.6215  0.2469
O  0.8053  0.0565  0.4622
O  0.8198  0.4311  0.5248
O  0.8514  0.0841  0.8413
O  0.9475  0.2485  0.1538

The 10 most intense peaks (2θ = 15–90°), by angle:
2θ/deg	intensity
19.00	40
19.71	100
25.00	54
25.95	53
27.97	52
29.73	45
30.87	71
33.64	30
42.15	28
50.03	30

=====

(3)
Computed X-ray powder pattern of MgH2O2 for a wavelength of 1.5418 Å, from a structure optimized by DFT (PBE).

Structural model:
a b c (Å): 3.1859 3.1859 4.7816
angles (deg): 90.00 90.00 120.00
Element x y z (fractional)
Mg  0.0000  0.0000  0.0000
H  0.3333  0.6667  0.5787
H  0.6667  0.3333  0.4213
O  0.3333  0.6667  0.7818
O  0.6667  0.3333  0.2182

The 10 most intense peaks (2θ = 15–90°), by angle:
2θ/deg	intensity
18.56	67
32.45	3
37.64	100
50.51	47
57.89	30
61.34	14
67.92	17
71.13	11
80.35	12
89.31	3

=====

(4)
Computed X-ray powder pattern of CdGa2Cl8 for a wavelength of 1.5418 Å, from a structure optimized by DFT (PBE).

Structural model:
a b c (Å): 7.2756 6.9489 13.3787
angles (deg): 90.00 93.01 90.00
Element x y z (fractional)
Cd  0.0000  0.2468  0.0000
Cd  0.0000  0.7532  0.5000
Ga  0.1468  0.0673  0.2394
Ga  0.1468  0.9327  0.7394
Ga  0.5608  0.4316  0.0410
Ga  0.5608  0.5684  0.5410
Cl  0.0504  0.3629  0.1959
Cl  0.0504  0.6371  0.6959
Cl  0.1509  0.0631  0.5850
Cl  0.1509  0.9369  0.0850
Cl  0.2977  0.4371  0.9449
Cl  0.2977  0.5629  0.4449
Cl  0.4041  0.0590  0.3239
Cl  0.4041  0.9410  0.8239
Cl  0.5364  0.4160  0.6783
Cl  0.5364  0.5840  0.1783
Cl  0.6617  0.1283  0.0553
Cl  0.6617  0.8717  0.5553
Cl  0.7888  0.4467  0.4521
Cl  0.7888  0.5533  0.9521
Cl  0.9265  0.0853  0.8200
Cl  0.9265  0.9147  0.3200

The 10 most intense peaks (2θ = 15–90°), by angle:
2θ/deg	intensity
17.66	86
18.45	100
18.65	50
23.73	33
24.50	34
27.29	58
28.21	39
38.75	52
45.60	85
46.72	35

=====

(5)
Computed X-ray powder pattern of Sm5Ge4 for a wavelength of 1.5418 Å, from a structure optimized by DFT (PBE).

Structural model:
a b c (Å): 7.8432 15.0472 7.9285
angles (deg): 90.00 90.00 90.00
Element x y z (fractional)
Sm  0.0237  0.1020  0.1783
Sm  0.0237  0.3980  0.1783
Sm  0.1223  0.6156  0.3397
Sm  0.1223  0.8844  0.3397
Sm  0.2130  0.2500  0.5024
Sm  0.2870  0.7500  0.0024
Sm  0.3777  0.1156  0.8397
Sm  0.3777  0.3844  0.8397
Sm  0.4763  0.6020  0.6783
Sm  0.4763  0.8980  0.6783
Sm  0.5237  0.1020  0.3217
Sm  0.5237  0.3980  0.3217
Sm  0.6223  0.6156  0.1603
Sm  0.6223  0.8844  0.1603
Sm  0.7130  0.2500  0.9976
Sm  0.7870  0.7500  0.4976
Sm  0.8777  0.1156  0.6603
Sm  0.8777  0.3844  0.6603
Sm  0.9763  0.6020  0.8217
Sm  0.9763  0.8980  0.8217
Ge  0.0850  0.2500  0.8875
Ge  0.1734  0.7500  0.6347
Ge  0.2201  0.0445  0.5330
Ge  0.2201  0.4555  0.5330
Ge  0.2799  0.5445  0.0330
Ge  0.2799  0.9555  0.0330
Ge  0.3266  0.2500  0.1347
Ge  0.4150  0.7500  0.3875
Ge  0.5850  0.2500  0.6125
Ge  0.6734  0.7500  0.8653
Ge  0.7201  0.0445  0.9670
Ge  0.7201  0.4555  0.9670
Ge  0.7799  0.5445  0.4670
Ge  0.7799  0.9555  0.4670
Ge  0.8266  0.2500  0.3653
Ge  0.9150  0.7500  0.1125

The 10 most intense peaks (2θ = 15–90°), by angle:
2θ/deg	intensity
30.93	100
31.07	41
32.10	36
32.82	44
33.00	37
34.93	51
35.81	33
36.18	28
36.37	48
36.68	26

=====

(6)
Computed X-ray powder pattern of Gd3P6Pd20 for a wavelength of 1.5418 Å, from a structure optimized by DFT (PBE).

Structural model:
a b c (Å): 8.7068 8.7068 8.7068
angles (deg): 60.00 60.00 60.00
Element x y z (fractional)
Gd  0.0000  0.0000  0.0000
Gd  0.2500  0.2500  0.2500
Gd  0.7500  0.7500  0.7500
P  0.2626  0.2626  0.7374
P  0.2626  0.7374  0.2626
P  0.2626  0.7374  0.7374
P  0.7374  0.2626  0.2626
P  0.7374  0.2626  0.7374
P  0.7374  0.7374  0.2626
Pd  0.0000  0.0000  0.3458
Pd  0.0000  0.0000  0.6542
Pd  0.0000  0.3458  0.0000
Pd  0.0000  0.3458  0.6542
Pd  0.0000  0.6542  0.0000
Pd  0.0000  0.6542  0.3458
Pd  0.1551  0.6150  0.6150
Pd  0.3458  0.0000  0.0000
Pd  0.3458  0.0000  0.6542
Pd  0.3458  0.6542  0.0000
Pd  0.3850  0.3850  0.3850
Pd  0.3850  0.3850  0.8449
Pd  0.3850  0.8449  0.3850
Pd  0.6150  0.1551  0.6150
Pd  0.6150  0.6150  0.1551
Pd  0.6150  0.6150  0.6150
Pd  0.6542  0.0000  0.0000
Pd  0.6542  0.0000  0.3458
Pd  0.6542  0.3458  0.0000
Pd  0.8449  0.3850  0.3850

The 10 most intense peaks (2θ = 15–90°), by angle:
2θ/deg	intensity
32.52	23
35.72	34
37.97	100
41.49	32
43.48	22
49.08	12
64.18	30
65.67	14
75.68	20
77.06	10

=====

(7)
Computed X-ray powder pattern of Li3Nb for a wavelength of 1.5418 Å, from a structure optimized by DFT (PBE).

Structural model:
a b c (Å): 5.4015 5.4015 5.4015
angles (deg): 137.74 137.74 61.30
Element x y z (fractional)
Li  0.0000  0.0000  0.0000
Li  0.2500  0.7500  0.5000
Li  0.7500  0.2500  0.5000
Nb  0.5000  0.5000  0.0000

The 10 most intense peaks (2θ = 15–90°), by angle:
2θ/deg	intensity
19.10	47
24.79	100
32.52	25
37.08	34
37.98	48
46.65	13
50.84	13
51.46	13
53.53	23
61.04	15